# 1
LiDyZnPb: calculated X-ray diffraction stick pattern (Cu Kα (λ = 1.5418 Å)), based on DFT lattice parameters and positions (GGA-PBE).
No peak broadening, texture or thermal motion is included.

Most intense lines, 2θ from 10° to 80°, by angle:
2theta	d_spacing	I_rel
21.6	4.123	49
24.9	3.571	8
35.6	2.525	100
42.0	2.153	27
43.9	2.062	2
51.2	1.785	18
56.1	1.638	12
57.7	1.597	3
63.9	1.458	37
68.2	1.374	9
75.3	1.262	11
79.4	1.207	9

```
data_LiDyZnPb
_chemical_formula_sum 'Li4 Dy4 Zn4 Pb4'
_cell_length_a 7.1415
_cell_length_b 7.1415
_cell_length_c 7.1415
_cell_angle_alpha 90.00
_cell_angle_beta 90.00
_cell_angle_gamma 90.00
_symmetry_space_group_name_H-M 'F -4 3 m'
_symmetry_Int_Tables_number 216
_symmetry_space_group_name_Hall 'F -4 2 3'
loop_
_atom_site_label
_atom_site_fract_x
_atom_site_fract_y
_atom_site_fract_z
Li1 0.0000 0.0000 0.0000
Dy1 0.0000 0.0000 0.5000
Zn1 0.2500 0.2500 0.2500
Pb1 0.2500 0.2500 0.7500
```

***

# 2
LiDy2Pd9: calculated X-ray diffraction stick pattern (Cu Kα (λ = 1.5418 Å)), based on DFT lattice parameters and positions (GGA-PBE).
No peak broadening, texture or thermal motion is included.

Most intense lines, 2θ from 10° to 80°, by angle:
2theta	d_spacing	I_rel
22.9	3.887	5
26.4	3.375	4
34.4	2.610	6
38.2	2.356	3
38.5	2.339	100
44.0	2.059	35
46.2	1.964	13
59.6	1.550	3
63.9	1.456	12
65.7	1.421	18
71.8	1.314	3
77.2	1.236	25

```
data_LiDy2Pd9
_chemical_formula_sum 'Li1 Dy2 Pd9'
_cell_length_a 4.1180
_cell_length_b 4.1180
_cell_length_c 11.7810
_cell_angle_alpha 90.00
_cell_angle_beta 90.00
_cell_angle_gamma 90.00
_symmetry_space_group_name_H-M 'P 4/m m m'
_symmetry_Int_Tables_number 123
_symmetry_space_group_name_Hall '-P 4 2'
loop_
_atom_site_label
_atom_site_fract_x
_atom_site_fract_y
_atom_site_fract_z
Li1 0.0000 0.0000 0.0000
Dy1 0.0000 0.0000 0.3252
Pd1 0.0000 0.5000 0.1532
Pd2 0.0000 0.5000 0.5000
Pd3 0.5000 0.5000 0.0000
Pd4 0.5000 0.5000 0.3256
```

***

# 3
LiDyTl2Pd4: calculated X-ray diffraction stick pattern (Cu Kα (λ = 1.5418 Å)), based on DFT lattice parameters and positions (GGA-PBE).
No peak broadening, texture or thermal motion is included.

Most intense lines, 2θ from 10° to 80°, by angle:
2theta	d_spacing	I_rel
11.5	7.686	4
22.1	4.022	5
23.1	3.847	13
26.7	3.333	2
29.2	3.058	5
35.0	2.563	2
38.2	2.357	100
45.1	2.010	8
55.1	1.666	17
69.0	1.361	26
69.1	1.359	8
73.9	1.283	3

```
data_LiDyTl2Pd4
_chemical_formula_sum 'Li3 Dy3 Tl6 Pd12'
_cell_length_a 4.7167
_cell_length_b 4.7167
_cell_length_c 23.0576
_cell_angle_alpha 90.00
_cell_angle_beta 90.00
_cell_angle_gamma 120.00
_symmetry_space_group_name_H-M 'R -3 m'
_symmetry_Int_Tables_number 166
_symmetry_space_group_name_Hall '-R 3 2"'
loop_
_atom_site_label
_atom_site_fract_x
_atom_site_fract_y
_atom_site_fract_z
Li1 0.0000 0.0000 0.0000
Dy1 0.0000 0.0000 0.5000
Tl1 0.0000 0.0000 0.2535
Pd1 0.0000 0.0000 0.1179
Pd2 0.0000 0.0000 0.3759
```

***

# 4
Li2Dy2TmPd5: calculated X-ray diffraction stick pattern (Cu Kα (λ = 1.5418 Å)), based on DFT lattice parameters and positions (GGA-PBE).
No peak broadening, texture or thermal motion is included.

Most intense lines, 2θ from 10° to 80°, by angle:
2theta	d_spacing	I_rel
31.7	2.820	66
35.5	2.528	35
37.5	2.397	54
37.8	2.377	100
40.8	2.210	29
41.1	2.194	20
49.8	1.831	21
61.8	1.502	14
64.0	1.455	22
65.6	1.422	13
66.3	1.410	13
72.4	1.306	15

```
data_Li2Dy2TmPd5
_chemical_formula_sum 'Li4 Dy4 Tm2 Pd10'
_cell_length_a 9.8832
_cell_length_b 9.8832
_cell_length_c 3.6618
_cell_angle_alpha 90.00
_cell_angle_beta 90.00
_cell_angle_gamma 90.00
_symmetry_space_group_name_H-M 'P 4/m b m'
_symmetry_Int_Tables_number 127
_symmetry_space_group_name_Hall '-P 4 2ab'
loop_
_atom_site_label
_atom_site_fract_x
_atom_site_fract_y
_atom_site_fract_z
Li1 0.1208 0.3792 0.0000
Dy1 0.1747 0.6747 0.0000
Tm1 0.0000 0.0000 0.0000
Pd1 0.0000 0.5000 0.5000
Pd2 0.0702 0.2127 0.5000
```

***

Repeat the first record exactly.
LiDyZnPb: calculated X-ray diffraction stick pattern (Cu Kα (λ = 1.5418 Å)), based on DFT lattice parameters and positions (GGA-PBE).
No peak broadening, texture or thermal motion is included.

Most intense lines, 2θ from 10° to 80°, by angle:
2theta	d_spacing	I_rel
21.6	4.123	49
24.9	3.571	8
35.6	2.525	100
42.0	2.153	27
43.9	2.062	2
51.2	1.785	18
56.1	1.638	12
57.7	1.597	3
63.9	1.458	37
68.2	1.374	9
75.3	1.262	11
79.4	1.207	9

```
data_LiDyZnPb
_chemical_formula_sum 'Li4 Dy4 Zn4 Pb4'
_cell_length_a 7.1415
_cell_length_b 7.1415
_cell_length_c 7.1415
_cell_angle_alpha 90.00
_cell_angle_beta 90.00
_cell_angle_gamma 90.00
_symmetry_space_group_name_H-M 'F -4 3 m'
_symmetry_Int_Tables_number 216
_symmetry_space_group_name_Hall 'F -4 2 3'
loop_
_atom_site_label
_atom_site_fract_x
_atom_site_fract_y
_atom_site_fract_z
Li1 0.0000 0.0000 0.0000
Dy1 0.0000 0.0000 0.5000
Zn1 0.2500 0.2500 0.2500
Pb1 0.2500 0.2500 0.7500
```